Entry 1:
Computed X-ray diffraction stick pattern
Compound: SmPd3Se4
Radiation: Cu Kα
Structure: a DFT-relaxed cell (GGA-PBE, Alexandria)

Cell and atoms:
```
data_SmPd3Se4
_cell_length_a 7.069
_cell_length_b 7.069
_cell_length_c 7.069
_cell_angle_alpha 90.00
_cell_angle_beta 90.00
_cell_angle_gamma 90.00
_space_group_name_H-M_alt 'P m -3 n'
_space_group_IT_number 223
_space_group_name_Hall '-P 4n 2 3'
loop_
_atom_site_label
_atom_site_type_symbol
_atom_site_fract_x
_atom_site_fract_y
_atom_site_fract_z
Sm1 Sm 0.000 0.000 0.000
Pd1 Pd 0.000 0.250 0.500
Se1 Se 0.250 0.250 0.250
```

Most intense lines, 2θ = 10–90°, in order of falling intensity:
- 2θ 30.99, intensity 100, (2 1 1)
- 2θ 28.23, intensity 91, (2 1 0)
- 2θ 35.93, intensity 65, (2 2 0)
- 2θ 48.16, intensity 58, (3 2 1)
- 2θ 51.72, intensity 55, (4 0 0)
- 2θ 44.39, intensity 45, (2 2 2)
- 2θ 76.18, intensity 35, (4 4 0)
- 2θ 64.58, intensity 23, (4 2 2)

***

Entry 2:
Computed X-ray diffraction stick pattern
Compound: Ti4MnBi2
Radiation: Cu Kα
Structure: a DFT-relaxed cell (GGA-PBE, Alexandria)

Cell and atoms:
```
data_Ti4MnBi2
_cell_length_a 10.529
_cell_length_b 10.529
_cell_length_c 5.028
_cell_angle_alpha 90.00
_cell_angle_beta 90.00
_cell_angle_gamma 90.00
_space_group_name_H-M_alt 'I 4/m c m'
_space_group_IT_number 140
_space_group_name_Hall '-I 4 2c'
loop_
_atom_site_label
_atom_site_type_symbol
_atom_site_fract_x
_atom_site_fract_y
_atom_site_fract_z
Ti1 Ti 0.080 0.192 0.000
Mn1 Mn 0.000 0.000 0.250
Bi1 Bi 0.139 0.361 0.500
```

Most intense lines, 2θ = 10–90°, in order of falling intensity:
- 2θ 25.93, intensity 100, (2 1 1)
- 2θ 35.55, intensity 59, (3 2 1)
- 2θ 26.78, intensity 30, (3 1 0)
- 2θ 50.18, intensity 27, (4 0 2)
- 2θ 50.06, intensity 27, (5 2 1)
- 2θ 39.58, intensity 25, (4 1 1)
- 2θ 35.72, intensity 23, (0 0 2)
- 2θ 34.06, intensity 23, (4 0 0)

***

Entry 3:
Computed X-ray diffraction stick pattern
Compound: Pm6OsAu2
Radiation: Cu Kα
Structure: a DFT-relaxed cell (GGA-PBE, Alexandria)

Cell and atoms:
```
data_Pm6OsAu2
_cell_length_a 6.883
_cell_length_b 7.577
_cell_length_c 12.266
_cell_angle_alpha 90.00
_cell_angle_beta 121.40
_cell_angle_gamma 90.00
_space_group_name_H-M_alt 'P 1 21/c 1'
_space_group_IT_number 14
_space_group_name_Hall '-P 2ybc'
loop_
_atom_site_label
_atom_site_type_symbol
_atom_site_fract_x
_atom_site_fract_y
_atom_site_fract_z
Pm1 Pm 0.107 0.035 0.251
Pm2 Pm 0.242 0.683 0.068
Pm3 Pm 0.391 0.186 0.063
Os1 Os 0.000 0.000 0.000
Au1 Au 0.318 0.110 0.762
```

Most intense lines, 2θ = 10–90°, in order of falling intensity:
- 2θ 29.43, intensity 100, (2 1 -1)
- 2θ 31.59, intensity 86, (1 2 1)
- 2θ 29.24, intensity 64, (1 0 -4)
- 2θ 37.95, intensity 52, (1 3 -1)
- 2θ 28.02, intensity 52, (1 2 0)
- 2θ 34.96, intensity 48, (0 2 3)
- 2θ 34.26, intensity 38, (0 0 4)
- 2θ 14.43, intensity 38, (0 1 1)

***

Entry 4:
Computed X-ray diffraction stick pattern
Compound: Cs2HoSb2S6
Radiation: Cu Kα
Structure: a DFT-relaxed cell (GGA-PBE, Alexandria)

Cell and atoms:
```
data_Cs2HoSb2S6
_cell_length_a 12.546
_cell_length_b 7.446
_cell_length_c 8.823
_cell_angle_alpha 90.00
_cell_angle_beta 116.66
_cell_angle_gamma 90.00
_space_group_name_H-M_alt 'C 1 2/m 1'
_space_group_IT_number 12
_space_group_name_Hall '-C 2y'
loop_
_atom_site_label
_atom_site_type_symbol
_atom_site_fract_x
_atom_site_fract_y
_atom_site_fract_z
Cs1 Cs 0.203 0.000 0.173
Ho1 Ho 0.000 0.000 0.500
Sb1 Sb 0.060 0.500 0.207
S1 S 0.042 0.239 0.761
S2 S 0.234 0.000 0.583
```

Most intense lines, 2θ = 10–90°, in order of falling intensity:
- 2θ 24.42, intensity 100, (3 1 -1)
- 2θ 23.54, intensity 85, (1 1 -2)
- 2θ 23.90, intensity 53, (0 2 0)
- 2θ 41.85, intensity 49, (3 1 2)
- 2θ 42.08, intensity 40, (0 2 3)
- 2θ 31.97, intensity 39, (2 2 -2)
- 2θ 20.29, intensity 37, (1 1 1)
- 2θ 33.57, intensity 34, (2 2 1)